[1]
The following is a computed PXRD pattern of Li2SnP2O7. It was derived from a crystal structure in the Materials Project, relaxed with GGA-PBE, using Cu Kα (λ = 1.5418 Å).
Kinematic intensities with the Lorentz-polarization factor, no thermal factor.

Crystal structure
```
48
Lattice="6.956 0.000 0.000 -2.784 9.329 0.000 -0.812 -5.093 10.059" Properties=species:S:1:pos:R:3 pbc="T T T"
Li 0.000 0.000 0.000
Li -1.568 -1.064 8.155
Li -1.095 6.448 1.679
Li 0.007 6.651 4.118
Li 1.838 -0.460 7.624
Li 1.808 3.779 5.877
Li 3.028 5.390 2.780
Li 5.197 -0.914 3.317
Sn -1.878 3.906 5.871
Sn -0.319 0.731 5.377
Sn 2.161 3.120 0.448
Sn 0.178 4.037 9.813
P -1.782 1.749 8.688
P 1.514 -0.144 2.695
P 0.246 3.971 3.077
P 2.993 -3.148 7.112
P 3.052 1.045 4.895
P 2.505 1.295 9.937
P 5.599 -2.625 5.734
P 5.580 2.642 0.960
O -1.432 -1.696 9.932
O -0.413 -1.480 6.125
O -2.061 3.162 8.101
O 0.148 -0.345 3.413
O -0.471 2.710 2.331
O -1.085 0.779 7.734
O -0.715 5.154 3.036
O 1.348 0.302 1.258
O -1.116 1.877 10.049
O -0.566 6.047 5.812
O 0.546 3.495 4.489
O 2.445 -1.353 2.830
O 1.555 4.273 2.290
O 2.254 1.106 3.468
O 2.325 -2.258 8.144
O 2.131 0.292 5.873
O 1.541 0.168 9.533
O 0.665 4.786 7.614
O 2.030 2.729 9.562
O 3.228 2.512 5.324
O 4.362 -2.291 6.766
O 2.301 6.709 4.287
O 4.211 3.235 1.329
O 4.386 0.335 4.607
O 5.507 1.122 0.669
O 3.821 6.338 1.313
O 3.739 0.997 8.906
O 3.272 5.280 6.124
```

The 12 most intense peaks (10 to 80 degrees two-theta), most intense first:
2theta	d_spacing	I_rel
17.63	5.030	100
17.77	4.992	75
28.89	3.090	75
30.87	2.897	60
23.71	3.753	52
22.73	3.912	52
20.97	4.237	52
32.25	2.776	43
30.66	2.916	43
10.29	8.597	43
31.03	2.882	41
27.15	3.285	41


[2]
The following is a computed PXRD pattern of K3Cu2Bi5S10. It was derived from a crystal structure in the Materials Project, relaxed with GGA-PBE, using Cu Kα (λ = 1.5418 Å).
Kinematic intensities with the Lorentz-polarization factor, no thermal factor.

Crystal structure
```
40
Lattice="14.405 0.000 0.000 0.000 17.887 0.000 0.000 0.000 4.058" Properties=species:S:1:pos:R:3 pbc="T T T"
K 0.000 0.000 0.000
K 0.358 4.532 2.029
K 6.844 13.476 0.000
K 7.202 8.944 2.029
K 7.561 4.411 0.000
K 14.047 13.355 2.029
Cu 3.145 13.381 0.000
Cu 4.057 4.437 2.029
Cu 10.348 13.450 2.029
Cu 11.259 4.507 0.000
Bi 0.000 8.944 0.000
Bi 3.162 10.675 2.029
Bi 3.334 16.035 2.029
Bi 3.868 7.091 0.000
Bi 4.040 1.731 0.000
Bi 7.202 0.000 2.029
Bi 10.365 16.156 0.000
Bi 10.537 10.796 0.000
Bi 11.070 1.852 2.029
Bi 11.242 7.213 2.029
S 1.358 11.442 0.000
S 1.701 15.228 0.000
S 1.777 7.990 2.029
S 2.342 0.658 2.029
S 2.886 4.187 0.000
S 4.316 13.131 2.029
S 4.861 9.602 0.000
S 5.425 16.934 0.000
S 5.502 6.284 2.029
S 5.844 2.498 2.029
S 8.560 15.389 2.029
S 8.903 11.603 2.029
S 8.980 0.954 0.000
S 9.544 8.285 0.000
S 10.088 4.757 2.029
S 11.519 13.700 0.000
S 12.063 17.229 2.029
S 12.627 9.897 2.029
S 12.704 2.659 0.000
S 13.047 6.445 0.000
```

The 12 most intense peaks (10 to 80 degrees two-theta), most intense first:
2theta	d_spacing	I_rel
32.54	2.752	100
12.29	7.202	83
27.30	3.267	74
23.42	3.799	52
30.53	2.928	48
43.50	2.080	39
24.72	3.601	32
29.24	3.054	29
41.31	2.186	26
42.26	2.138	25
51.02	1.790	25
44.66	2.029	23


[3]
The following is a computed PXRD pattern of Gd2MgIrO6. It was derived from a crystal structure in the Materials Project, relaxed with GGA-PBE, using Cu Kα (λ = 1.5418 Å).
Kinematic intensities with the Lorentz-polarization factor, no thermal factor.

Crystal structure
```
20
Lattice="5.420 0.000 0.000 0.000 5.743 0.000 -5.397 0.000 7.773" Properties=species:S:1:pos:R:3 pbc="T T T"
Gd -0.098 0.392 1.953
Gd -2.796 2.479 5.840
Gd 2.819 3.264 1.933
Gd 0.121 5.350 5.820
Mg 2.710 0.000 0.000
Mg 0.011 2.871 3.886
Ir -2.698 0.000 3.886
Ir 0.000 2.871 0.000
O -4.384 1.145 7.323
O -1.685 1.726 3.437
O -3.730 3.992 7.339
O -1.032 4.622 3.453
O -2.089 0.227 5.813
O 0.609 2.645 1.927
O -0.586 3.098 5.846
O 2.112 5.516 1.960
O 1.055 1.121 4.320
O 3.753 1.750 0.433
O 1.708 4.016 4.336
O 4.407 4.597 0.450
```

The 12 most intense peaks (10 to 80 degrees two-theta), most intense first:
2theta	d_spacing	I_rel
32.35	2.767	100
33.06	2.710	25
19.22	4.619	23
19.96	4.449	21
31.15	2.871	20
46.06	1.971	18
58.53	1.577	17
38.53	2.337	15
52.00	1.758	14
25.34	3.515	14
46.75	1.943	13
58.66	1.574	11


[4]
The following is a computed PXRD pattern of CaAl2Si2O10. It was derived from a crystal structure in the Materials Project, relaxed with GGA-PBE, using Cu Kα (λ = 1.5418 Å).
Kinematic intensities with the Lorentz-polarization factor, no thermal factor.

Crystal structure
```
30
Lattice="2.958 -4.394 0.000 2.958 4.394 0.000 0.000 0.000 12.957" Properties=species:S:1:pos:R:3 pbc="T T T"
Ca 2.958 2.945 9.717
Ca 2.958 -2.945 3.239
Al 1.479 2.197 0.000
Al 1.479 2.197 6.478
Al 1.479 -2.197 0.000
Al 1.479 -2.197 6.478
Si 2.958 0.194 1.702
Si 2.958 0.194 4.776
Si 2.958 -0.194 8.180
Si 2.958 -0.194 11.255
O 2.958 3.379 3.239
O 2.958 3.200 0.687
O 2.958 3.200 5.791
O 1.614 1.108 1.527
O 1.614 1.108 4.951
O 2.958 1.202 7.304
O 2.958 1.202 12.131
O 1.614 -1.108 8.005
O 1.614 -1.108 11.430
O 2.958 0.433 9.717
O 2.958 -0.433 3.239
O 4.302 1.108 1.527
O 4.302 1.108 4.951
O 2.958 -1.202 0.825
O 2.958 -1.202 5.653
O 4.302 -1.108 8.005
O 4.302 -1.108 11.430
O 2.958 -3.200 7.166
O 2.958 -3.200 12.269
O 2.958 -3.379 9.717
```

The 12 most intense peaks (10 to 80 degrees two-theta), most intense first:
2theta	d_spacing	I_rel
33.14	2.703	100
59.70	1.549	82
34.40	2.607	76
18.08	4.908	74
42.37	2.133	73
34.16	2.625	70
24.48	3.636	59
33.30	2.691	54
36.62	2.454	46
21.35	4.161	41
36.95	2.433	40
62.83	1.479	37


[5]
The following is a computed PXRD pattern of Ag2Hg7P8I6. It was derived from a crystal structure in the Materials Project, relaxed with GGA-PBE, using Cu Kα (λ = 1.5418 Å).
Kinematic intensities with the Lorentz-polarization factor, no thermal factor.

Crystal structure
```
23
Lattice="6.718 -5.616 0.000 6.718 5.616 0.000 -1.875 0.000 8.325" Properties=species:S:1:pos:R:3 pbc="T T T"
Ag 3.359 2.808 0.000
Ag 3.359 -2.808 0.000
Hg -0.937 0.000 4.163
Hg 4.709 2.050 6.115
Hg 2.966 0.000 3.062
Hg 6.853 2.050 2.210
Hg 4.709 -2.050 6.115
Hg 8.596 0.000 5.263
Hg 6.853 -2.050 2.210
P 3.931 3.847 7.668
P 0.692 0.000 2.017
P 7.631 3.847 0.657
P 4.830 0.000 4.709
P 6.731 0.000 3.616
P 3.931 -3.847 7.668
P 10.870 0.000 6.308
P 7.631 -3.847 0.657
I 3.893 3.383 2.928
I 4.688 0.000 0.292
I 7.668 3.383 5.397
I 3.893 -3.383 2.928
I 6.874 0.000 8.033
I 7.668 -3.383 5.397
```

The 12 most intense peaks (10 to 80 degrees two-theta), most intense first:
2theta	d_spacing	I_rel
31.44	2.846	100
31.87	2.808	47
32.14	2.785	40
27.32	3.264	37
27.58	3.234	31
48.70	1.870	24
48.11	1.891	22
49.21	1.852	21
27.78	3.211	17
45.42	1.997	16
26.66	3.344	15
26.96	3.307	15


[6]
The following is a computed PXRD pattern of TmTaTiO6. It was derived from a crystal structure in the Materials Project, relaxed with GGA-PBE, using Cu Kα (λ = 1.5418 Å).
Kinematic intensities with the Lorentz-polarization factor, no thermal factor.

Crystal structure
```
36
Lattice="5.201 0.000 0.000 0.000 14.640 0.000 -0.033 0.000 5.593" Properties=species:S:1:pos:R:3 pbc="T T T"
Tm 1.275 0.003 1.283
Tm 1.258 7.317 4.079
Tm 3.893 14.637 4.310
Tm 3.909 7.323 1.514
Ta 1.658 2.457 3.786
Ta 1.675 4.863 0.990
Ta 3.493 9.777 4.603
Ta 3.509 12.183 1.807
Ti 0.937 9.724 1.041
Ti 0.921 12.236 3.837
Ti 4.247 2.404 1.756
Ti 4.230 4.916 4.552
O 0.139 1.335 3.160
O 0.156 5.985 0.364
O 0.404 8.563 2.285
O 0.387 13.397 5.081
O 0.776 3.497 2.046
O 0.759 3.823 4.842
O 1.803 10.848 4.812
O 1.820 11.112 2.015
O 2.154 1.223 5.097
O 2.171 6.097 2.300
O 2.434 8.660 0.383
O 2.417 13.300 3.180
O 2.751 1.340 2.413
O 2.734 5.980 5.210
O 2.997 8.543 3.292
O 3.014 13.417 0.496
O 3.347 3.528 3.578
O 3.364 3.792 0.781
O 4.408 10.817 0.750
O 4.392 11.143 3.547
O 4.780 1.243 0.512
O 4.763 6.077 3.308
O 5.011 8.655 5.229
O 5.028 13.305 2.433
```

The 12 most intense peaks (10 to 80 degrees two-theta), most intense first:
2theta	d_spacing	I_rel
29.81	2.997	100
29.70	3.008	74
18.10	4.901	24
24.21	3.677	23
32.01	2.796	22
49.58	1.839	21
61.97	1.497	20
36.84	2.440	18
51.35	1.779	18
34.49	2.600	18
19.98	4.444	17
26.32	3.387	16


[7]
The following is a computed PXRD pattern of BaCuPClO4. It was derived from a crystal structure in the Materials Project, relaxed with GGA-PBE, using Cu Kα (λ = 1.5418 Å).
Kinematic intensities with the Lorentz-polarization factor, no thermal factor.

Crystal structure
```
32
Lattice="7.385 0.000 0.000 0.000 7.995 0.000 0.000 0.000 8.810" Properties=species:S:1:pos:R:3 pbc="T T T"
Ba 0.932 0.141 1.783
Ba 2.760 7.854 6.189
Ba 4.625 3.857 7.027
Ba 6.452 4.138 2.622
Cu 0.998 3.874 6.013
Cu 2.694 4.121 1.608
Cu 4.691 0.123 2.798
Cu 6.386 7.872 7.203
P 0.936 5.467 8.094
P 2.756 2.528 3.689
P 4.628 6.526 0.716
P 6.448 1.469 5.121
Cl 1.253 5.902 4.039
Cl 2.439 2.093 8.445
Cl 4.946 6.090 4.771
Cl 6.131 1.905 0.366
O 0.182 0.616 5.774
O 0.578 6.988 8.059
O 1.204 5.114 0.770
O 1.527 2.800 2.758
O 2.165 5.195 7.163
O 2.489 2.881 5.175
O 3.115 1.007 3.654
O 3.510 7.379 1.369
O 3.875 3.382 3.036
O 4.270 5.005 0.751
O 4.896 6.878 8.040
O 5.219 1.197 6.053
O 5.858 6.798 1.648
O 6.181 1.117 3.635
O 6.807 2.990 5.157
O 7.202 4.614 7.441
```

The 12 most intense peaks (10 to 80 degrees two-theta), most intense first:
2theta	d_spacing	I_rel
28.49	3.133	100
30.19	2.960	54
43.10	2.099	36
32.59	2.748	34
22.24	3.998	29
20.16	4.405	22
34.74	2.583	21
26.06	3.420	16
54.77	1.676	15
40.85	2.209	15
42.85	2.111	15
49.65	1.836	15


[8]
The following is a computed PXRD pattern of Li3BiO3. It was derived from a crystal structure in the Materials Project, relaxed with GGA-PBE, using Cu Kα (λ = 1.5418 Å).
Kinematic intensities with the Lorentz-polarization factor, no thermal factor.

Crystal structure
```
28
Lattice="-4.474 4.474 4.474 4.474 -4.474 4.474 4.474 4.474 -4.474" Properties=species:S:1:pos:R:3 pbc="T T T"
Li 5.239 1.092 -1.092
Li 5.239 -1.092 1.092
Li 3.708 1.092 1.092
Li 3.382 3.382 -0.765
Li 3.382 -0.765 3.382
Li 1.092 5.239 -1.092
Li 1.092 -1.092 5.239
Li 1.092 3.708 1.092
Li 1.092 1.092 3.708
Li -1.092 5.239 1.092
Li -1.092 1.092 5.239
Li -0.765 3.382 3.382
Bi 1.259 1.259 -1.259
Bi 1.259 -1.259 1.259
Bi -1.259 1.259 1.259
Bi 3.214 3.214 3.214
O 3.336 1.147 -1.147
O 3.336 -1.147 1.147
O 1.147 3.336 -1.147
O 1.147 -1.147 3.336
O 5.612 1.147 1.147
O 3.327 3.327 1.138
O 3.327 1.138 3.327
O -1.147 3.336 1.147
O -1.147 1.147 3.336
O 1.138 3.327 3.327
O 1.147 5.612 1.147
O 1.147 1.147 5.612
```

The 12 most intense peaks (10 to 80 degrees two-theta), most intense first:
2theta	d_spacing	I_rel
24.37	3.653	100
14.00	6.327	50
31.62	2.829	35
56.32	1.634	32
37.61	2.391	26
40.32	2.237	26
42.88	2.109	25
34.73	2.583	20
52.12	1.755	17
58.34	1.582	15
64.16	1.451	14
78.56	1.218	12


[9]
The following is a computed PXRD pattern of Ba3P2. It was derived from a crystal structure in the Materials Project, relaxed with GGA-PBE, using Cu Kα (λ = 1.5418 Å).
Kinematic intensities with the Lorentz-polarization factor, no thermal factor.

Crystal structure
```
5
Lattice="6.049 0.000 0.000 0.000 6.049 0.000 0.000 0.000 6.049" Properties=species:S:1:pos:R:3 pbc="T T T"
Ba 0.000 0.000 3.025
Ba 0.000 3.025 0.000
Ba 3.025 0.000 0.000
P 0.000 0.000 0.000
P 3.025 3.025 3.025
```

The 12 most intense peaks (10 to 80 degrees two-theta), most intense first:
2theta	d_spacing	I_rel
25.50	3.493	100
29.53	3.025	69
42.26	2.139	51
50.01	1.824	47
14.64	6.049	31
69.49	1.353	23
67.49	1.388	19
52.39	1.746	18
77.27	1.235	17
33.11	2.705	17
44.95	2.016	9
61.30	1.512	8